This entry pairs a crystal structure of KNaCo2Br8 with its computed powder XRD pattern. Radiation: a wavelength of 1.5418 Å. Structure: the GGA-PBE geometry in Alexandria.
Intensities are scaled so that the largest is 100.

Top 6 peaks for 15 to 90 degrees two-theta, by angle:
two_theta	d (Å)	I/Imax
27.3	3.272	29
27.4	3.259	100
31.7	2.825	50
45.3	2.001	33
45.5	1.994	35
53.9	1.702	35

```
data_KNaCo2Br8
_chemical_formula_sum 'K1 Na1 Co2 Br8'
_symmetry_space_group_name_H-M 'P 1'
_symmetry_Int_Tables_number 1
_symmetry_space_group_name_Hall 'P 1'
_cell_length_a 10.596
_cell_length_b 10.596
_cell_length_c 10.596
_cell_angle_alpha 38.05
_cell_angle_beta 38.05
_cell_angle_gamma 38.05
loop_
_atom_site_label
_atom_site_fract_x
_atom_site_fract_y
_atom_site_fract_z
K1 0.000 0.000 0.000
Na1 0.500 0.500 0.500
Co1 0.253 0.253 0.253
Co2 0.747 0.747 0.747
Br1 0.080 0.795 0.440
Br2 0.205 0.560 0.920
Br3 0.331 0.331 0.331
Br4 0.440 0.080 0.795
Br5 0.560 0.920 0.205
Br6 0.669 0.669 0.669
Br7 0.795 0.440 0.080
Br8 0.920 0.205 0.560
```